No. 1
LiYZn2Ge2: calculated PXRD pattern (Cu Ka), based on DFT lattice parameters and positions (PBE).
Kinematic intensities with the Lorentz-polarization factor, no thermal factor.

Top 10 peaks for 2θ from 15° to 90°, sorted by position:
26.02°, rel. 13.0; 27.45°, rel. 55.8; 35.77°, rel. 100.0; 39.47°, rel. 12.9; 42.42°, rel. 86.1; 56.66°, rel. 25.5; 59.32°, rel. 22.3; 73.27°, rel. 22.9; 73.78°, rel. 14.4; 77.60°, rel. 13.6

Atomic structure:
Lattice parameters (Å, degrees): 4.2621 4.2621 6.8495 90.00 90.00 120.00
Element x y z (fractional)
Li: 0.0000 0.0000 0.0000
Y: 0.0000 0.0000 0.5000
Zn: 0.3333 0.6667 0.1729
Zn: 0.6667 0.3333 0.8271
Ge: 0.3333 0.6667 0.7529
Ge: 0.6667 0.3333 0.2471


No. 2
Li8Zn2Ge3: calculated PXRD pattern (Cu Ka), based on DFT lattice parameters and positions (PBE).
Kinematic intensities with the Lorentz-polarization factor, no thermal factor.

Top 10 peaks for 2θ from 15° to 90°, sorted by position:
15.40°, rel. 17.9; 21.85°, rel. 96.5; 26.07°, rel. 100.0; 41.01°, rel. 44.6; 41.52°, rel. 71.6; 47.40°, rel. 77.0; 49.69°, rel. 16.4; 62.52°, rel. 30.7; 79.96°, rel. 15.7; 84.13°, rel. 18.2

Atomic structure:
Lattice parameters (Å, degrees): 9.2261 9.2261 9.2261 48.20 48.20 48.20
Element x y z (fractional)
Li: 0.0474 0.6987 0.3408
Li: 0.1592 0.8013 0.4526
Li: 0.1990 0.1990 0.1990
Li: 0.1987 0.5474 0.8408
Li: 0.3010 0.3010 0.3010
Li: 0.3013 0.6592 0.9526
Li: 0.3408 0.0474 0.6987
Li: 0.4526 0.1592 0.8013
Li: 0.5474 0.8408 0.1987
Li: 0.6592 0.9526 0.3013
Li: 0.6987 0.3408 0.0474
Li: 0.6990 0.6990 0.6990
Li: 0.8013 0.4526 0.1592
Li: 0.8010 0.8010 0.8010
Li: 0.8408 0.1987 0.5474
Li: 0.9526 0.3013 0.6592
Zn: 0.0815 0.0815 0.0815
Zn: 0.4185 0.4185 0.4185
Zn: 0.5815 0.5815 0.5815
Zn: 0.9185 0.9185 0.9185
Ge: 0.0726 0.4274 0.7500
Ge: 0.2500 0.9274 0.5726
Ge: 0.4274 0.7500 0.0726
Ge: 0.5726 0.2500 0.9274
Ge: 0.7500 0.0726 0.4274
Ge: 0.9274 0.5726 0.2500


No. 3
Li2Zn3Ge: calculated PXRD pattern (Cu Ka), based on DFT lattice parameters and positions (PBE).
Kinematic intensities with the Lorentz-polarization factor, no thermal factor.

Top 10 peaks for 2θ from 15° to 90°, sorted by position:
23.49°, rel. 100.0; 31.07°, rel. 71.1; 39.32°, rel. 68.7; 41.24°, rel. 74.3; 41.37°, rel. 37.0; 52.52°, rel. 61.9; 52.63°, rel. 30.9; 58.37°, rel. 13.8; 79.77°, rel. 29.4; 83.72°, rel. 14.9

Atomic structure:
Lattice parameters (Å, degrees): 8.7563 8.1182 5.2283 78.74 65.41 35.85
Element x y z (fractional)
Li: 0.2493 0.7507 0.7507
Li: 0.2500 0.2500 0.2500
Li: 0.7500 0.7500 0.7500
Li: 0.7507 0.2493 0.2493
Zn: 0.1704 0.6649 0.3351
Zn: 0.3317 0.3317 0.6683
Zn: 0.3351 0.8296 0.1704
Zn: 0.6649 0.1704 0.8296
Zn: 0.6683 0.6683 0.3317
Zn: 0.8296 0.3351 0.6649
Ge: 0.1632 0.1632 0.8368
Ge: 0.8368 0.8368 0.1632


No. 4
Li3Zn2Ge4: calculated PXRD pattern (Cu Ka), based on DFT lattice parameters and positions (PBE).
Kinematic intensities with the Lorentz-polarization factor, no thermal factor.

Top 10 peaks for 2θ from 15° to 90°, sorted by position:
23.73°, rel. 83.8; 23.91°, rel. 41.6; 27.57°, rel. 100.0; 36.67°, rel. 41.4; 36.74°, rel. 38.2; 41.61°, rel. 46.7; 41.94°, rel. 90.3; 50.65°, rel. 36.3; 50.80°, rel. 38.0; 51.06°, rel. 33.9

Atomic structure:
Lattice parameters (Å, degrees): 5.4007 5.4007 8.0988 113.30 113.30 47.39
Element x y z (fractional)
Li: 0.0000 0.0000 0.0000
Li: 0.3291 0.3291 0.3613
Li: 0.6709 0.6709 0.6387
Zn: 0.3963 0.3963 0.7297
Zn: 0.6037 0.6037 0.2703
Ge: 0.0322 0.0322 0.3619
Ge: 0.2466 0.2466 0.9099
Ge: 0.7534 0.7534 0.0901
Ge: 0.9678 0.9678 0.6381